# 1
Diffraction record for PrZn12. The PXRD pattern is theoretical, not measured: it uses a crystal structure in OQMD, relaxed with GGA-PBE and Cu Kα (λ = 1.5418 Å).
Peak positions follow from Bragg's law for the DFT cell and can differ from measured ones.

Top 12 peaks for 2θ from 10° to 90°, by angle:
2theta  I/Imax
28.27  15.0
34.61  11.1
34.84  28.7
40.26  47.5
40.49  100.0
45.32  25.7
45.54  21.4
65.99  13.9
73.55  13.6
73.69  12.7
87.00  7.6
87.69  6.6

Atomic structure:
```
13
Lattice="-4.451 4.451 2.592 4.451 -4.451 2.592 4.451 4.451 -2.592" Properties=species:S:1:pos:R:3 pbc="T T T"
Pr 0.000 0.000 0.000
Zn 2.226 2.226 -1.296
Zn 3.168 0.000 0.000
Zn 2.226 -2.226 1.296
Zn 5.735 0.000 0.000
Zn 4.451 2.485 0.000
Zn 0.000 3.168 0.000
Zn -2.226 2.226 1.296
Zn 2.485 4.451 0.000
Zn 2.226 2.226 1.296
Zn 1.966 0.000 2.592
Zn 0.000 5.735 0.000
Zn 0.000 1.966 2.592
```


# 2
Diffraction record for Er5Lu3Te. The PXRD pattern is theoretical, not measured: it uses a crystal structure in OQMD, relaxed with GGA-PBE and Cu Kα (λ = 1.5418 Å).
Peak positions follow from Bragg's law for the DFT cell and can differ from measured ones.

Top 12 peaks for 2θ from 10° to 90°, by angle:
2theta  I/Imax
30.13  39.6
31.09  100.0
33.17  54.5
34.28  77.0
38.82  26.8
46.95  13.3
48.94  15.7
56.81  36.6
58.55  12.3
61.11  29.3
64.43  13.0
71.59  9.9

Atomic structure:
```
9
Lattice="9.061 0.000 0.000 -4.531 7.847 0.000 0.000 0.000 3.722" Properties=species:S:1:pos:R:3 pbc="T T T"
Er -2.788 4.829 0.000
Er 0.000 5.232 1.861
Er 1.743 3.018 0.000
Er 5.576 0.000 0.000
Er 4.531 2.616 1.861
Lu -1.248 2.162 1.861
Lu 2.497 0.000 1.861
Lu 3.282 5.685 1.861
Te 0.000 0.000 0.000
```


# 3
Diffraction record for Zr3PCN. The PXRD pattern is theoretical, not measured: it uses a crystal structure in OQMD, relaxed with GGA-PBE and Cu Kα (λ = 1.5418 Å).
Peak positions follow from Bragg's law for the DFT cell and can differ from measured ones.

Top 12 peaks for 2θ from 10° to 90°, by angle:
2theta  I/Imax
30.69  19.5
30.82  53.6
32.10  22.1
36.83  100.0
40.06  55.5
41.33  10.1
53.98  40.7
56.80  16.5
61.73  11.9
63.41  21.8
67.14  16.0
70.18  12.5

Atomic structure:
```
12
Lattice="3.397 0.000 0.000 -1.699 2.942 0.000 0.000 0.000 17.478" Properties=species:S:1:pos:R:3 pbc="T T T"
Zr 0.000 0.000 0.000
Zr 0.000 0.000 8.739
Zr 0.000 1.961 2.540
Zr 0.000 1.961 6.146
Zr 1.699 0.981 11.332
Zr 1.699 0.981 14.938
P 0.000 0.000 4.307
P 0.000 0.000 13.170
C 0.000 1.961 10.120
C 1.699 0.981 7.358
N 0.000 1.961 16.175
N 1.699 0.981 1.302
```


# 4
Diffraction record for CdCu7. The PXRD pattern is theoretical, not measured: it uses a crystal structure in OQMD, relaxed with GGA-PBE and Cu Kα (λ = 1.5418 Å).
Peak positions follow from Bragg's law for the DFT cell and can differ from measured ones.

Top 12 peaks for 2θ from 10° to 90°, by angle:
2theta  I/Imax
10.58  12.8
39.03  13.3
41.86  56.5
43.25  100.0
44.84  42.2
47.32  38.9
50.06  23.6
53.81  24.7
74.44  18.2
76.56  11.8
86.12  12.3
87.31  11.7

Atomic structure:
```
16
Lattice="2.650 0.000 0.000 0.000 3.407 0.000 0.000 0.000 25.095" Properties=species:S:1:pos:R:3 pbc="T T T"
Cd 0.662 0.852 2.276
Cd 1.987 2.555 22.819
Cu 0.662 0.852 5.392
Cu 0.662 0.852 7.997
Cu 0.662 0.852 10.595
Cu 0.662 0.852 13.195
Cu 0.662 0.852 15.796
Cu 0.662 0.852 18.398
Cu 0.662 0.852 21.011
Cu 1.987 2.555 4.084
Cu 1.987 2.555 6.697
Cu 1.987 2.555 9.299
Cu 1.987 2.555 11.900
Cu 1.987 2.555 14.500
Cu 1.987 2.555 17.098
Cu 1.987 2.555 19.703
```


# 5
Diffraction record for K3Lu2As3. The PXRD pattern is theoretical, not measured: it uses a crystal structure in OQMD, relaxed with GGA-PBE and Cu Kα (λ = 1.5418 Å).
Peak positions follow from Bragg's law for the DFT cell and can differ from measured ones.

Top 12 peaks for 2θ from 10° to 90°, by angle:
2theta  I/Imax
12.24  48.4
12.38  100.0
23.75  16.1
27.36  19.4
27.82  23.3
28.56  51.1
31.86  18.7
34.93  21.8
35.25  20.5
36.07  20.5
36.21  35.7
41.02  29.5

Atomic structure:
```
16
Lattice="7.641 0.000 0.000 0.000 6.941 0.000 -3.634 0.000 10.643" Properties=species:S:1:pos:R:3 pbc="T T T"
K -1.086 1.735 4.661
K 0.729 1.735 0.776
K 1.475 5.206 3.871
K 2.533 1.735 6.772
K 3.279 5.206 9.867
K 5.094 5.206 5.982
Lu -0.245 3.482 8.863
Lu -0.245 6.929 8.863
Lu 4.253 0.012 1.780
Lu 4.253 3.459 1.780
As -2.052 1.735 7.861
As 2.580 5.206 0.314
As 1.010 5.206 7.172
As 2.998 1.735 3.471
As 1.428 1.735 10.330
As 6.060 5.206 2.783
```


# 6
Diffraction record for PrNd2PaSe3O4. The PXRD pattern is theoretical, not measured: it uses a crystal structure in OQMD, relaxed with GGA-PBE and Cu Kα (λ = 1.5418 Å).
Peak positions follow from Bragg's law for the DFT cell and can differ from measured ones.

Top 12 peaks for 2θ from 10° to 90°, by angle:
2theta  I/Imax
24.89  64.0
30.94  100.0
31.34  64.0
35.13  28.8
37.39  11.5
41.61  15.1
42.94  12.0
45.69  19.9
47.51  25.3
52.74  41.8
58.91  13.1
60.21  12.2

Atomic structure:
```
11
Lattice="8.681 0.000 0.000 0.000 1.986 6.318 0.000 -1.986 6.318" Properties=species:S:1:pos:R:3 pbc="T T T"
Pr 0.000 0.000 0.000
Nd 2.217 0.000 8.594
Nd 6.464 0.000 8.594
Pa 4.341 0.000 12.498
Se 1.481 0.000 4.495
Se 4.341 0.000 3.763
Se 7.200 0.000 4.495
O 0.000 0.000 7.736
O 2.304 0.000 0.945
O 4.341 0.000 7.265
O 6.377 0.000 0.945
```


# 7
Diffraction record for Pr2AlSn. The PXRD pattern is theoretical, not measured: it uses a crystal structure in OQMD, relaxed with GGA-PBE and Cu Kα (λ = 1.5418 Å).
Peak positions follow from Bragg's law for the DFT cell and can differ from measured ones.

Top 12 peaks for 2θ from 10° to 90°, by angle:
2theta  I/Imax
25.61  22.6
29.17  100.0
29.78  45.5
30.45  25.1
36.47  48.1
37.04  19.3
38.54  24.9
41.85  19.8
52.21  19.1
58.19  15.1
58.47  14.7
74.46  14.5

Atomic structure:
```
8
Lattice="4.317 0.000 0.000 0.000 4.671 0.000 0.000 0.000 11.741" Properties=species:S:1:pos:R:3 pbc="T T T"
Pr 0.000 0.000 0.000
Pr 0.000 2.336 5.870
Pr 2.159 0.000 3.314
Pr 2.159 2.336 9.184
Al 2.159 0.000 6.585
Al 2.159 2.336 0.714
Sn 0.000 0.000 8.376
Sn 0.000 2.336 2.506
```


# 8
Diffraction record for Dy4Er3Ni2S2. The PXRD pattern is theoretical, not measured: it uses a crystal structure in OQMD, relaxed with GGA-PBE and Cu Kα (λ = 1.5418 Å).
Peak positions follow from Bragg's law for the DFT cell and can differ from measured ones.

Top 12 peaks for 2θ from 10° to 90°, by angle:
2theta  I/Imax
29.95  68.9
31.47  68.1
31.80  44.4
34.62  51.9
35.50  100.0
35.96  47.2
38.08  21.7
40.05  20.9
48.59  28.3
53.71  20.8
56.52  21.3
61.03  20.2

Atomic structure:
```
11
Lattice="-1.874 7.394 4.568 1.874 -7.394 4.568 1.874 7.394 -4.568" Properties=species:S:1:pos:R:3 pbc="T T T"
Dy 0.000 1.761 0.000
Dy 0.000 5.412 1.413
Dy 0.000 9.376 1.413
Dy 0.000 13.027 0.000
Er 1.874 -2.736 2.681
Er 0.000 0.000 3.666
Er 1.874 2.736 2.681
Ni 1.874 3.847 -0.096
Ni 0.000 3.547 4.472
S 1.874 0.000 1.444
S 0.000 0.000 6.811
```


# 9
Diffraction record for GdErGa4Pt2. The PXRD pattern is theoretical, not measured: it uses a crystal structure in OQMD, relaxed with GGA-PBE and Cu Kα (λ = 1.5418 Å).
Peak positions follow from Bragg's law for the DFT cell and can differ from measured ones.

Top 12 peaks for 2θ from 10° to 90°, by angle:
2theta  I/Imax
26.57  30.5
34.88  80.8
36.12  100.0
37.81  45.2
41.42  42.6
43.23  33.3
46.50  18.6
53.37  14.9
54.67  24.8
57.32  27.3
67.96  15.5
70.84  22.9

Atomic structure:
```
16
Lattice="6.710 0.000 0.000 0.000 4.360 0.000 0.000 0.000 10.179" Properties=species:S:1:pos:R:3 pbc="T T T"
Gd 0.000 0.000 0.000
Gd 0.000 2.180 5.089
Er 3.355 0.000 1.691
Er 3.355 2.180 6.781
Ga 1.331 0.000 7.265
Ga 1.331 2.180 2.176
Ga 2.035 0.000 4.592
Ga 2.035 2.180 9.681
Ga 4.675 0.000 4.592
Ga 4.675 2.180 9.681
Ga 5.379 0.000 7.265
Ga 5.379 2.180 2.176
Pt 0.000 0.000 2.931
Pt 0.000 2.180 8.020
Pt 3.355 0.000 8.935
Pt 3.355 2.180 3.846
```


# 10
Diffraction record for K2Cu5Te5. The PXRD pattern is theoretical, not measured: it uses a crystal structure in OQMD, relaxed with GGA-PBE and Cu Kα (λ = 1.5418 Å).
Peak positions follow from Bragg's law for the DFT cell and can differ from measured ones.

Top 12 peaks for 2θ from 10° to 90°, by angle:
2theta  I/Imax
11.05  100.0
12.02  23.2
22.26  28.0
26.30  43.1
27.33  43.8
27.75  28.3
29.38  44.3
36.55  27.0
40.00  39.3
40.55  46.1
43.92  34.3
46.39  48.5

Atomic structure:
```
24
Lattice="2.061 -8.011 0.000 2.061 8.011 0.000 0.000 0.000 18.703" Properties=species:S:1:pos:R:3 pbc="T T T"
K 2.061 7.723 11.551
K 2.061 7.723 16.503
K 2.061 -7.723 2.199
K 2.061 -7.723 7.152
Cu 2.061 5.245 4.676
Cu 2.061 4.432 0.776
Cu 2.061 4.432 8.576
Cu 2.061 3.192 12.114
Cu 2.061 3.192 15.940
Cu 2.061 -3.192 2.762
Cu 2.061 -3.192 6.589
Cu 2.061 -4.432 10.127
Cu 2.061 -4.432 17.927
Cu 2.061 -5.245 14.027
Te 2.061 3.146 3.125
Te 2.061 3.146 6.226
Te 2.061 2.036 9.730
Te 2.061 2.036 18.324
Te 2.061 1.246 14.027
Te 2.061 -1.246 4.676
Te 2.061 -2.036 0.378
Te 2.061 -2.036 8.973
Te 2.061 -3.146 12.477
Te 2.061 -3.146 15.578
```


# 11
Diffraction record for HoTm2In3Ag3. The PXRD pattern is theoretical, not measured: it uses a crystal structure in OQMD, relaxed with GGA-PBE and Cu Kα (λ = 1.5418 Å).
Peak positions follow from Bragg's law for the DFT cell and can differ from measured ones.

Top 12 peaks for 2θ from 10° to 90°, by angle:
2theta  I/Imax
32.59  100.0
35.04  40.5
35.25  76.7
39.92  43.4
42.35  18.9
47.08  20.7
48.44  14.1
54.29  14.2
60.02  16.8
63.39  21.3
64.64  30.3
69.86  9.5

Atomic structure:
```
9
Lattice="3.860 0.000 0.000 0.000 6.781 3.908 0.000 -6.781 3.908" Properties=species:S:1:pos:R:3 pbc="T T T"
Ho 0.000 0.000 0.000
Tm 0.000 -2.729 4.718
Tm 0.000 2.729 4.718
In 1.930 -1.806 2.107
In 1.930 1.806 2.107
In 1.930 0.000 5.227
Ag 0.000 0.000 3.154
Ag 1.930 -4.509 3.144
Ag 1.930 4.509 3.144
```


# 12
Diffraction record for Ba2PdAuN2. The PXRD pattern is theoretical, not measured: it uses a crystal structure in OQMD, relaxed with GGA-PBE and Cu Kα (λ = 1.5418 Å).
Peak positions follow from Bragg's law for the DFT cell and can differ from measured ones.

Top 12 peaks for 2θ from 10° to 90°, by angle:
2theta  I/Imax
25.71  7.6
27.71  51.9
33.07  100.0
40.60  18.1
41.58  15.9
45.33  38.9
53.96  8.7
57.24  20.4
59.52  8.3
63.19  27.1
70.49  9.6
75.87  18.0

Atomic structure:
```
6
Lattice="4.002 0.000 0.000 -2.001 3.466 0.000 0.000 0.000 8.687" Properties=species:S:1:pos:R:3 pbc="T T T"
Ba 0.000 0.000 2.057
Ba 0.000 0.000 6.630
Pd 0.000 2.310 0.000
Au 2.001 1.155 4.344
N 0.000 2.310 4.344
N 2.001 1.155 0.000
```


# 13
Diffraction record for Li15Hg. The PXRD pattern is theoretical, not measured: it uses a crystal structure in OQMD, relaxed with GGA-PBE and Cu Kα (λ = 1.5418 Å).
Peak positions follow from Bragg's law for the DFT cell and can differ from measured ones.

Top 12 peaks for 2θ from 10° to 90°, by angle:
2theta  I/Imax
13.71  100.0
19.43  92.0
23.86  38.2
27.62  20.1
30.96  60.0
34.00  47.6
39.46  32.0
41.96  33.8
44.35  23.1
46.63  20.0
53.04  27.5
58.95  19.9

Atomic structure:
```
16
Lattice="6.460 0.000 0.000 0.000 6.460 0.000 0.000 0.000 6.460" Properties=species:S:1:pos:R:3 pbc="T T T"
Li 0.000 0.000 0.000
Li 0.000 0.000 3.230
Li 0.000 3.230 0.000
Li 0.000 3.230 3.230
Li 1.639 1.639 1.639
Li 1.639 1.639 4.820
Li 1.639 4.820 1.639
Li 1.639 4.820 4.820
Li 3.230 0.000 0.000
Li 3.230 0.000 3.230
Li 3.230 3.230 0.000
Li 4.820 1.639 1.639
Li 4.820 1.639 4.820
Li 4.820 4.820 1.639
Li 4.820 4.820 4.820
Hg 3.230 3.230 3.230
```